(1)
Computed X-ray powder pattern of LiMn3B3O9 for λ = 1.5418 Å (Cu Kα), from the GGA+U geometry in the Materials Project.

Main lines, in order of rising 2θ (2θ from 10° to 90°):
2θ/deg  I (rel.)
19.71  1000
20.36  341
20.77  300
22.09  732
22.68  889
33.77  473
35.15  764
37.02  314
41.40  302
51.70  311

Cell and atoms:
Cell lengths 5.3139, 8.1978, 9.2296 Å; angles 73.75, 73.86, 87.73 degrees
Sites, in units of the cell vectors:
Li1 0.0000 0.0000 0.0000
Li2 0.3312 0.3276 0.3406
Mn1 0.1392 0.7423 0.8100
Mn2 0.1765 0.3504 0.9255
Mn3 0.4525 0.0761 0.1523
Mn4 0.5030 0.6746 0.2561
Mn5 0.7724 0.4132 0.4919
Mn6 0.8284 0.0091 0.5937
B1 0.0747 0.5582 0.1509
B2 0.2036 0.5111 0.5942
B3 0.4177 0.9009 0.4802
B4 0.5419 0.8675 0.9230
B5 0.7483 0.2246 0.8205
B6 0.8721 0.1712 0.2689
O1 0.0194 0.5644 0.0083
O2 0.0653 0.1320 0.1498
O3 0.2069 0.9144 0.6047
O4 0.2705 0.5560 0.7141
O5 0.2843 0.8703 0.9238
O6 0.3164 0.5268 0.1691
O7 0.3608 0.8876 0.3439
O8 0.3965 0.4577 0.4819
O9 0.5308 0.2390 0.9432
O10 0.6178 0.8926 0.0495
O11 0.6205 0.1998 0.2591
O12 0.6697 0.8935 0.4858
O13 0.6953 0.2156 0.6808
O14 0.7448 0.8436 0.7993
O15 0.8606 0.5694 0.2760
O16 0.9459 0.2007 0.3968
O17 0.9538 0.5292 0.5849
O18 0.9906 0.2038 0.8376


(2)
Computed X-ray powder pattern of LiFe2OF3 for λ = 1.5418 Å (Cu Kα), from the GGA+U geometry in the Materials Project.

Main lines, in order of rising 2θ (2θ from 10° to 90°):
2θ/deg  I (rel.)
10.26  471
14.11  614
22.71  400
28.70  1000
29.11  554
33.45  386
33.70  984
33.82  482
34.35  812
59.49  615

Cell and atoms:
Cell lengths 6.2298, 6.2780, 8.6267 Å; angles 91.06, 90.04, 90.20 degrees
Sites, in units of the cell vectors:
Li1 0.0000 0.0000 0.0000
Li2 0.2294 0.2645 0.2429
Li3 0.4831 0.0039 0.4767
Li4 0.7317 0.2703 0.2407
Fe1 0.2378 0.7565 0.7665
Fe2 0.4618 0.7713 0.1330
Fe3 0.4784 0.2985 0.8645
Fe4 0.4841 0.5168 0.4939
Fe5 0.7370 0.7615 0.7306
Fe6 0.9448 0.7868 0.3670
Fe7 0.9751 0.1896 0.6157
Fe8 0.9934 0.5182 0.0040
O1 0.2066 0.7453 0.0100
O2 0.4856 0.5511 0.7403
O3 0.6920 0.7625 0.4886
O4 0.9928 0.9576 0.7532
F1 0.2205 0.2518 0.0033
F2 0.2420 0.7702 0.4804
F3 0.2538 0.2571 0.4868
F4 0.4778 0.4792 0.2454
F5 0.4901 0.0473 0.2461
F6 0.4923 0.0192 0.7424
F7 0.7132 0.2507 0.4838
F8 0.7453 0.7641 0.0040
F9 0.7585 0.2846 0.9988
F10 0.9786 0.4888 0.2507
F11 0.9804 0.0501 0.2412
F12 0.9841 0.4887 0.7339


(3)
Computed X-ray powder pattern of Ce8Fe8As8O7F for λ = 1.5418 Å (Cu Kα), from the GGA+U geometry in the Materials Project.

Main lines, in order of rising 2θ (2θ from 10° to 90°):
2θ/deg  I (rel.)
30.07  1000
31.83  218
33.41  192
37.78  484
45.63  344
46.62  150
52.29  208
55.62  367
66.51  106
67.29  98

Cell and atoms:
Cell lengths 10.5618, 10.5618, 10.5618 Å; angles 135.77, 135.77, 64.34 degrees
Sites, in units of the cell vectors:
Ce1 0.0695 0.8195 0.2500
Ce2 0.0847 0.3241 0.7606
Ce3 0.1805 0.4306 0.2500
Ce4 0.1805 0.9305 0.7500
Ce5 0.5635 0.3241 0.2394
Ce6 0.5694 0.8195 0.7500
Ce7 0.6759 0.4365 0.7606
Ce8 0.6759 0.9153 0.2394
Fe1 0.0000 0.0000 0.0000
Fe2 0.9995 0.4995 0.5000
Fe3 0.2465 0.2465 0.4930
Fe4 0.2465 0.7535 0.0000
Fe5 0.5005 0.0005 0.5000
Fe6 0.5000 0.5000 0.0000
Fe7 0.7535 0.2465 0.0000
Fe8 0.7535 0.7535 0.5070
As1 0.3426 0.5929 0.7496
As2 0.3458 0.0949 0.2509
As3 0.4071 0.1567 0.7496
As4 0.4071 0.6574 0.2504
As5 0.8433 0.5929 0.2504
As6 0.8439 0.0949 0.7491
As7 0.9051 0.1561 0.2509
As8 0.9051 0.6542 0.7491
O1 0.2500 0.7500 0.5000
O2 0.2514 0.2514 0.0000
O3 0.5030 0.0030 0.0059
O4 0.5030 0.4970 0.5000
O5 0.7486 0.7486 0.0000
O6 0.9970 0.0030 0.5000
O7 0.9970 0.4970 0.9941
F1 0.7500 0.2500 0.5000


(4)
Computed X-ray powder pattern of BaSrDyWO6 for λ = 1.5418 Å (Cu Kα), from the GGA+U geometry in the Materials Project.

Main lines, in order of rising 2θ (2θ from 10° to 90°):
2θ/deg  I (rel.)
21.12  199
29.84  1000
29.97  991
30.10  989
42.70  274
42.99  536
52.99  221
53.25  308
53.35  423
61.99  166

Cell and atoms:
Cell lengths 5.9588, 5.9872, 8.4065 Å; angles 89.46, 89.93, 89.69 degrees
Sites, in units of the cell vectors:
Ba1 0.0202 0.4949 0.2486
Ba2 0.9798 0.5051 0.7514
Sr1 0.4777 0.9963 0.7484
Sr2 0.5223 0.0037 0.2516
Dy1 0.0000 0.0000 0.0000
Dy2 0.5000 0.5000 0.5000
W1 0.0000 0.0000 0.5000
W2 0.5000 0.5000 0.0000
O1 0.0076 0.0545 0.7347
O2 0.2103 0.7402 0.5254
O3 0.2376 0.7138 0.9670
O4 0.2717 0.2056 0.4678
O5 0.2971 0.2327 0.0291
O6 0.5000 0.4352 0.7658
O7 0.5000 0.5648 0.2342
O8 0.7029 0.7673 0.9709
O9 0.7283 0.7944 0.5322
O10 0.7624 0.2862 0.0330
O11 0.7897 0.2598 0.4746
O12 0.9924 0.9455 0.2653


(5)
Computed X-ray powder pattern of HoV2O6 for λ = 1.5418 Å (Cu Kα), from the GGA+U geometry in the Materials Project.

Main lines, in order of rising 2θ (2θ from 10° to 90°):
2θ/deg  I (rel.)
19.98  714
20.91  1000
26.45  283
33.79  847
34.70  248
36.83  271
40.31  276
48.16  164
48.89  181
61.62  233

Cell and atoms:
Cell lengths 5.1697, 5.5371, 9.0610 Å; angles 90.00, 124.68, 90.00 degrees
Sites, in units of the cell vectors:
Ho1 0.0000 0.1603 0.0000
Ho2 0.0000 0.8397 0.5000
V1 0.2325 0.2872 0.7439
V2 0.2325 0.7128 0.2439
V3 0.7405 0.2753 0.2540
V4 0.7405 0.7247 0.7540
O1 0.0236 0.4379 0.1995
O2 0.0236 0.5621 0.6995
O3 0.0984 0.2409 0.5087
O4 0.0984 0.7591 0.0087
O5 0.4134 0.2792 0.9954
O6 0.4134 0.7208 0.4954
O7 0.5290 0.0506 0.2852
O8 0.5290 0.9494 0.7852
O9 0.6236 0.4296 0.8036
O10 0.6236 0.5704 0.3036
O11 0.9623 0.0486 0.7187
O12 0.9623 0.9514 0.2187